For Li6Pd4O11, a structure optimized by DFT (PBE) gives the calculated X-ray diffraction stick pattern in this record (copper Kα).
No peak broadening, texture or thermal motion is included.

Main lines, most intense first (5 to 70 degrees two-theta):
2θ/deg, intensity, (hkl)
18.71, 100, 1 0 0
20.89, 33, 0 0 2
23.93, 27, 1 0 2
43.22, 25, 1 -2 0
43.37, 22, 1 1 -3
20.03, 22, 0 1 -1
44.22, 21, 2 1 3
62.89, 19, 1 3 3
35.91, 17, 1 1 3
35.50, 17, 0 2 0

Structural model:
a = 4.9981 Å, b = 5.1266 Å, c = 8.8306 Å
α = 89.98°, β = 74.16°, γ = 80.92°
Space group P1 (No. 1)
One atom of each set of equivalent atoms:
Li  0.0000  0.0000  0.0000 (multiplicity 1)
Li  0.0020  0.5215  0.1559 (multiplicity 1)
Li  0.5016  0.7601  0.0744 (multiplicity 1)
Li  0.5044  0.2795  0.5871 (multiplicity 1)
Li  0.9753  0.5596  0.5057 (multiplicity 1)
Li  0.9797  0.0234  0.6836 (multiplicity 1)
Pd  0.4909  0.7689  0.7457 (multiplicity 1)
Pd  0.4965  0.2715  0.9109 (multiplicity 1)
Pd  0.4992  0.7691  0.4027 (multiplicity 1)
Pd  0.5024  0.2440  0.2470 (multiplicity 1)
O  0.2552  0.6722  0.6068 (multiplicity 1)
O  0.2600  0.1305  0.7880 (multiplicity 1)
O  0.2597  0.5999  0.2941 (multiplicity 1)
O  0.2634  0.1476  0.1140 (multiplicity 1)
O  0.2647  0.6358  0.9472 (multiplicity 1)
O  0.7138  0.9026  0.5414 (multiplicity 1)
O  0.7217  0.3941  0.3751 (multiplicity 1)
O  0.7255  0.9080  0.8698 (multiplicity 1)
O  0.7316  0.4015  0.7061 (multiplicity 1)
O  0.7345  0.3717  0.0440 (multiplicity 1)
O  0.7355  0.8842  0.2029 (multiplicity 1)